Structure and theoretical X-ray powder pattern of U2Si3Rh (a crystal structure in Alexandria, relaxed with GGA-PBE; Cu Kα, 1.54184 Å).
Intensities are scaled so that the largest is 100.

Cell and atoms:
```
12
Lattice="0.000 4.118 7.034 3.836 0.000 7.034 3.836 4.118 0.000" Properties=species:S:1:pos:R:3 pbc="T T T"
U 5.781 4.118 7.034
U 1.918 2.059 3.517
U 5.754 6.177 10.551
U 1.891 4.118 7.034
Si 3.836 2.099 5.874
Si 3.836 4.118 4.718
Si 3.836 2.099 8.194
Si 3.836 6.137 5.874
Si 3.836 4.118 9.350
Si 3.836 6.137 8.194
Rh 3.836 4.118 2.321
Rh 3.836 4.118 11.748
```

Most intense lines, 2θ = 10–90°, most intense first:
two_theta  I_rel
34.40  100
34.60  50
25.06  47
44.46  34
57.13  24
25.32  22
67.01  21
43.98  18
23.19  14
47.40  14